(1)
ZrAl2: calculated powder X-ray diffraction pattern (a wavelength of 1.5418 Å), based on DFT lattice parameters and positions (GGA-PBE).
Kinematic intensities with the Lorentz-polarization factor, no thermal factor.

Structural model:
Cell lengths 5.307, 5.307, 17.456 Å; angles 90.00, 90.00, 120.00 degrees
Fractional coordinates of all 24 atoms:
1 Zr 0.000 0.000 0.092
2 Zr 0.000 0.000 0.408
3 Zr 0.000 0.000 0.592
4 Zr 0.000 0.000 0.908
5 Zr 0.333 0.667 0.157
6 Zr 0.333 0.667 0.343
7 Zr 0.667 0.333 0.657
8 Zr 0.667 0.333 0.843
9 Al 0.000 0.500 0.000
10 Al 0.000 0.500 0.500
11 Al 0.162 0.324 0.750
12 Al 0.162 0.838 0.750
13 Al 0.324 0.162 0.250
14 Al 0.333 0.667 0.626
15 Al 0.333 0.667 0.874
16 Al 0.500 0.000 0.000
17 Al 0.500 0.000 0.500
18 Al 0.500 0.500 0.000
19 Al 0.500 0.500 0.500
20 Al 0.667 0.333 0.126
21 Al 0.667 0.333 0.374
22 Al 0.676 0.838 0.750
23 Al 0.838 0.162 0.250
24 Al 0.838 0.676 0.250

Most intense lines, 2θ = 10–80°, most intense first:
- d 2.267, I = 100
- d 2.458, I = 90
- d 2.653, I = 83
- d 2.222, I = 38
- d 1.491, I = 35
- d 2.780, I = 29
- d 4.444, I = 27
- d 1.445, I = 23
- d 1.327, I = 22
- d 2.278, I = 22

---

(2)
Li4GaAg2Sn: calculated powder X-ray diffraction pattern (a wavelength of 1.5418 Å), based on DFT lattice parameters and positions (GGA-PBE).
Kinematic intensities with the Lorentz-polarization factor, no thermal factor.

Structural model:
Cell lengths 4.525, 4.525, 6.436 Å; angles 90.00, 90.00, 90.00 degrees
Fractional coordinates of all 8 atoms:
1 Li 0.000 0.000 0.000
2 Li 0.000 0.500 0.235
3 Li 0.500 0.000 0.765
4 Li 0.500 0.500 0.500
5 Ga 0.500 0.500 0.000
6 Ag 0.000 0.500 0.767
7 Ag 0.500 0.000 0.233
8 Sn 0.000 0.000 0.500

Most intense lines, 2θ = 10–80°, most intense first:
- d 3.701, I = 100
- d 2.269, I = 64
- d 1.930, I = 32
- d 2.262, I = 32
- d 1.307, I = 21
- d 1.938, I = 16
- d 1.472, I = 13
- d 1.600, I = 11
- d 1.311, I = 10
- d 1.232, I = 7

---

(3)
BeCuSnAu: calculated powder X-ray diffraction pattern (a wavelength of 1.5418 Å), based on DFT lattice parameters and positions (GGA-PBE).
Kinematic intensities with the Lorentz-polarization factor, no thermal factor.

Structural model:
Cell lengths 4.510, 4.510, 4.510 Å; angles 60.00, 60.00, 60.00 degrees
Fractional coordinates of all 4 atoms:
1 Be 0.000 0.000 0.000
2 Cu 0.750 0.750 0.750
3 Sn 0.500 0.500 0.500
4 Au 0.250 0.250 0.250

Most intense lines, 2θ = 10–80°, most intense first:
- d 2.255, I = 100
- d 3.682, I = 46
- d 1.302, I = 35
- d 1.923, I = 24
- d 1.595, I = 17
- d 3.189, I = 16
- d 1.463, I = 11
- d 1.227, I = 8
- d 1.426, I = 5
- d 1.841, I = 4

---

(4)
Fe5PC2: calculated powder X-ray diffraction pattern (a wavelength of 1.5418 Å), based on DFT lattice parameters and positions (GGA-PBE).
Kinematic intensities with the Lorentz-polarization factor, no thermal factor.

Structural model:
Cell lengths 6.545, 6.545, 6.545 Å; angles 132.29, 132.29, 69.77 degrees
Fractional coordinates of all 16 atoms:
1 Fe 0.000 0.000 0.000
2 Fe 0.023 0.523 0.832
3 Fe 0.191 0.023 0.500
4 Fe 0.309 0.809 0.832
5 Fe 0.477 0.309 0.500
6 Fe 0.500 0.500 0.000
7 Fe 0.523 0.691 0.500
8 Fe 0.691 0.191 0.168
9 Fe 0.809 0.977 0.500
10 Fe 0.977 0.477 0.168
11 P 0.250 0.250 0.000
12 P 0.750 0.750 0.000
13 C 0.103 0.397 0.500
14 C 0.397 0.897 0.293
15 C 0.603 0.103 0.707
16 C 0.897 0.603 0.500

Most intense lines, 2θ = 10–80°, most intense first:
- d 1.975, I = 100
- d 1.885, I = 58
- d 2.312, I = 55
- d 1.674, I = 44
- d 2.182, I = 40
- d 1.287, I = 21
- d 1.872, I = 16
- d 1.209, I = 14
- d 1.790, I = 12
- d 2.685, I = 11

---

(5)
GdInCl6: calculated powder X-ray diffraction pattern (a wavelength of 1.5418 Å), based on DFT lattice parameters and positions (GGA-PBE).
Kinematic intensities with the Lorentz-polarization factor, no thermal factor.

Structural model:
Cell lengths 6.742, 6.742, 6.444 Å; angles 100.09, 100.09, 120.22 degrees
Fractional coordinates of all 8 atoms:
1 Gd 0.000 0.000 0.000
2 In 0.331 0.669 0.000
3 Cl 0.105 0.429 0.239
4 Cl 0.238 0.270 0.758
5 Cl 0.400 0.054 0.244
6 Cl 0.571 0.895 0.761
7 Cl 0.730 0.762 0.242
8 Cl 0.946 0.600 0.756

Most intense lines, 2θ = 10–80°, most intense first:
- d 2.702, I = 100
- d 6.033, I = 83
- d 3.311, I = 53
- d 5.540, I = 40
- d 4.907, I = 28
- d 1.881, I = 24
- d 1.942, I = 23
- d 5.846, I = 22
- d 4.198, I = 17
- d 2.051, I = 17

---

(6)
HgPd7: calculated powder X-ray diffraction pattern (a wavelength of 1.5418 Å), based on DFT lattice parameters and positions (GGA-PBE).
Kinematic intensities with the Lorentz-polarization factor, no thermal factor.

Structural model:
Cell lengths 2.796, 3.826, 32.283 Å; angles 90.00, 90.00, 90.00 degrees
Fractional coordinates of all 16 atoms:
1 Hg 0.250 0.250 0.162
2 Hg 0.750 0.750 0.838
3 Pd 0.250 0.250 0.256
4 Pd 0.250 0.250 0.345
5 Pd 0.250 0.250 0.434
6 Pd 0.250 0.250 0.522
7 Pd 0.250 0.250 0.611
8 Pd 0.250 0.250 0.700
9 Pd 0.250 0.250 0.789
10 Pd 0.750 0.750 0.211
11 Pd 0.750 0.750 0.300
12 Pd 0.750 0.750 0.389
13 Pd 0.750 0.750 0.478
14 Pd 0.750 0.750 0.566
15 Pd 0.750 0.750 0.655
16 Pd 0.750 0.750 0.744

Most intense lines, 2θ = 10–80°, most intense first:
- d 2.329, I = 100
- d 2.257, I = 99
- d 2.024, I = 67
- d 1.390, I = 38
- d 1.913, I = 37
- d 2.201, I = 20
- d 1.230, I = 20
- d 2.252, I = 14
- d 1.938, I = 14
- d 1.398, I = 13

---

(7)
Sm2Y2CIBr2Cl2: calculated powder X-ray diffraction pattern (a wavelength of 1.5418 Å), based on DFT lattice parameters and positions (GGA-PBE).
Kinematic intensities with the Lorentz-polarization factor, no thermal factor.

Structural model:
Cell lengths 9.078, 9.078, 8.685 Å; angles 102.84, 102.84, 24.80 degrees
Fractional coordinates of all 10 atoms:
1 Sm 0.000 0.000 0.195
2 Sm 0.000 0.000 0.805
3 Y 0.361 0.361 0.931
4 Y 0.639 0.639 0.069
5 C 0.500 0.500 0.000
6 I 0.500 0.500 0.500
7 Br 0.173 0.173 0.844
8 Br 0.827 0.827 0.156
9 Cl 0.164 0.164 0.295
10 Cl 0.836 0.836 0.705

Most intense lines, 2θ = 10–80°, most intense first:
- d 2.900, I = 100
- d 8.634, I = 69
- d 8.458, I = 46
- d 2.878, I = 44
- d 2.055, I = 24
- d 2.031, I = 24
- d 2.599, I = 20
- d 1.949, I = 16
- d 1.614, I = 15
- d 3.405, I = 15

---

(8)
NdTmO4: calculated powder X-ray diffraction pattern (a wavelength of 1.5418 Å), based on DFT lattice parameters and positions (GGA-PBE).
Kinematic intensities with the Lorentz-polarization factor, no thermal factor.

Structural model:
Cell lengths 3.875, 3.875, 6.224 Å; angles 96.02, 96.02, 58.28 degrees
Fractional coordinates of all 6 atoms:
1 Nd 0.000 0.000 0.000
2 Tm 0.375 0.375 0.460
3 O 0.042 0.042 0.389
4 O 0.338 0.338 0.101
5 O 0.605 0.605 0.778
6 O 0.780 0.780 0.655

Most intense lines, 2θ = 10–80°, most intense first:
- d 2.978, I = 100
- d 3.090, I = 46
- d 2.836, I = 37
- d 3.360, I = 32
- d 1.926, I = 29
- d 2.814, I = 28
- d 1.794, I = 27
- d 1.887, I = 19
- d 2.189, I = 17
- d 3.291, I = 17

---

(9)
Hf11N12: calculated powder X-ray diffraction pattern (a wavelength of 1.5418 Å), based on DFT lattice parameters and positions (GGA-PBE).
Kinematic intensities with the Lorentz-polarization factor, no thermal factor.

Structural model:
Cell lengths 6.372, 7.114, 7.126 Å; angles 95.65, 102.88, 116.60 degrees
Fractional coordinates of all 23 atoms:
1 Hf 0.000 0.000 0.000
2 Hf 0.007 0.672 0.674
3 Hf 0.251 0.836 0.320
4 Hf 0.255 0.165 0.675
5 Hf 0.261 0.520 0.000
6 Hf 0.498 0.326 0.325
7 Hf 0.502 0.674 0.675
8 Hf 0.739 0.480 0.000
9 Hf 0.745 0.835 0.325
10 Hf 0.749 0.164 0.680
11 Hf 0.993 0.328 0.326
12 N 0.109 0.741 0.997
13 N 0.124 0.416 0.666
14 N 0.126 0.084 0.336
15 N 0.367 0.257 0.001
16 N 0.369 0.912 0.652
17 N 0.376 0.584 0.335
18 N 0.624 0.416 0.665
19 N 0.631 0.088 0.348
20 N 0.633 0.743 0.999
21 N 0.874 0.916 0.664
22 N 0.876 0.584 0.334
23 N 0.891 0.259 0.003

Most intense lines, 2θ = 10–80°, most intense first:
- d 2.600, I = 100
- d 2.252, I = 69
- d 1.358, I = 24
- d 1.592, I = 23
- d 1.594, I = 15
- d 1.360, I = 10
- d 1.301, I = 8
- d 1.590, I = 7
- d 1.356, I = 7
- d 1.300, I = 4

---

(10)
Li3Pt2O6: calculated powder X-ray diffraction pattern (a wavelength of 1.5418 Å), based on DFT lattice parameters and positions (GGA-PBE).
Kinematic intensities with the Lorentz-polarization factor, no thermal factor.

Structural model:
Cell lengths 5.172, 5.172, 5.055 Å; angles 100.33, 100.33, 118.96 degrees
Fractional coordinates of all 11 atoms:
1 Li 0.000 0.000 0.000
2 Li 0.495 0.505 0.500
3 Li 0.838 0.162 0.500
4 Pt 0.321 0.679 0.000
5 Pt 0.660 0.340 0.000
6 O 0.071 0.423 0.222
7 O 0.261 0.284 0.766
8 O 0.429 0.097 0.238
9 O 0.577 0.929 0.778
10 O 0.716 0.739 0.234
11 O 0.903 0.571 0.762

Most intense lines, 2θ = 10–80°, most intense first:
- d 4.730, I = 100
- d 2.086, I = 43
- d 2.542, I = 39
- d 4.303, I = 38
- d 3.826, I = 26
- d 4.455, I = 22
- d 2.432, I = 22
- d 3.243, I = 21
- d 1.914, I = 20
- d 2.586, I = 20

---

(11)
DyY2Fe2B2N3: calculated powder X-ray diffraction pattern (a wavelength of 1.5418 Å), based on DFT lattice parameters and positions (GGA-PBE).
Kinematic intensities with the Lorentz-polarization factor, no thermal factor.

Structural model:
Cell lengths 10.493, 10.493, 10.493 Å; angles 161.08, 161.08, 26.88 degrees
Fractional coordinates of all 10 atoms:
1 Dy 0.000 0.000 0.000
2 Y 0.378 0.378 0.000
3 Y 0.622 0.622 0.000
4 Fe 0.250 0.750 0.500
5 Fe 0.750 0.250 0.500
6 B 0.188 0.188 0.000
7 B 0.812 0.812 0.000
8 N 0.115 0.115 0.000
9 N 0.500 0.500 0.000
10 N 0.885 0.885 0.000

Most intense lines, 2θ = 10–80°, most intense first:
- d 3.077, I = 100
- d 2.635, I = 91
- d 2.372, I = 75
- d 2.551, I = 63
- d 1.429, I = 51
- d 1.725, I = 42
- d 1.982, I = 38
- d 2.439, I = 37
- d 1.443, I = 29
- d 1.565, I = 28

---

(12)
Pr2CdAs2IrO2: calculated powder X-ray diffraction pattern (a wavelength of 1.5418 Å), based on DFT lattice parameters and positions (GGA-PBE).
Kinematic intensities with the Lorentz-polarization factor, no thermal factor.

Structural model:
Cell lengths 4.143, 4.143, 8.809 Å; angles 90.00, 90.00, 90.00 degrees
Fractional coordinates of all 8 atoms:
1 Pr 0.000 0.500 0.133
2 Pr 0.500 0.000 0.867
3 Cd 0.500 0.500 0.500
4 As 0.000 0.500 0.684
5 As 0.500 0.000 0.316
6 Ir 0.000 0.000 0.500
7 O 0.000 0.000 0.000
8 O 0.500 0.500 0.000

Most intense lines, 2θ = 10–80°, most intense first:
- d 3.018, I = 100
- d 2.780, I = 78
- d 2.439, I = 76
- d 2.072, I = 71
- d 1.760, I = 59
- d 1.708, I = 38
- d 8.809, I = 34
- d 2.935, I = 20
- d 1.465, I = 20
- d 1.256, I = 18